Starting from a crystal structure in Alexandria, relaxed with PBE, the powder diffraction line list of La2ThSi3Pt4 was computed for Cu Kα X-rays.
No peak broadening, texture or thermal motion is included.

Atomic structure:
```
La2ThSi3Pt4
1.0
4.364 0.000 0.000
0.000 4.364 0.000
0.000 0.000 11.001
La Th Si Pt
2 1 3 4
direct
0.000 0.500 0.225 La
0.500 0.000 0.775 La
0.000 0.000 0.500 Th
0.000 0.500 0.888 Si
0.500 0.000 0.112 Si
0.500 0.500 0.500 Si
0.000 0.000 0.000 Pt
0.000 0.500 0.669 Pt
0.500 0.000 0.331 Pt
0.500 0.500 0.000 Pt
```

Largest 10 diffraction maxima, most intense first, 10 to 80 degrees two-theta:
Position (°2θ)  d [Å]  Rel. int.  index
33.3  2.691  100  1 1 2
41.4  2.182  42  2 0 0
26.1  3.419  25  1 0 2
70.3  1.339  23  3 1 2
38.7  2.327  18  1 0 4
44.1  2.053  16  1 1 4
59.9  1.543  14  2 2 0
21.9  4.057  11  1 0 1
57.9  1.592  11  2 1 4
46.2  1.965  11  1 0 5

***

Starting from a crystal structure in Alexandria, relaxed with PBE, the powder diffraction line list of NdTmRh was computed for Cu Kα X-rays.
No peak broadening, texture or thermal motion is included.

Atomic structure:
```
NdTmRh
1.0
4.677 0.000 0.000
0.000 4.758 0.000
-0.932 0.000 6.988
Nd Tm Rh
2 2 2
direct
0.235 0.250 0.387 Nd
0.765 0.750 0.613 Nd
0.264 0.750 0.007 Tm
0.736 0.250 0.993 Tm
0.173 0.250 0.776 Rh
0.827 0.750 0.224 Rh
```

Largest 10 diffraction maxima, most intense first, 10 to 80 degrees two-theta:
Position (°2θ)  d [Å]  Rel. int.  index
30.9  2.895  100  1 1 1
28.7  3.116  66  1 1 -1
37.8  2.379  56  0 2 0
38.8  2.318  40  2 0 0
39.2  2.301  40  1 1 2
31.8  2.816  38  0 1 2
35.5  2.530  33  1 1 -2
55.3  1.660  29  2 2 0
29.9  2.987  28  1 0 -2
12.7  6.988  25  0 0 1

***

Repeat the first record exactly.
Starting from a crystal structure in Alexandria, relaxed with PBE, the powder diffraction line list of La2ThSi3Pt4 was computed for Cu Kα X-rays.
No peak broadening, texture or thermal motion is included.

Atomic structure:
```
La2ThSi3Pt4
1.0
4.364 0.000 0.000
0.000 4.364 0.000
0.000 0.000 11.001
La Th Si Pt
2 1 3 4
direct
0.000 0.500 0.225 La
0.500 0.000 0.775 La
0.000 0.000 0.500 Th
0.000 0.500 0.888 Si
0.500 0.000 0.112 Si
0.500 0.500 0.500 Si
0.000 0.000 0.000 Pt
0.000 0.500 0.669 Pt
0.500 0.000 0.331 Pt
0.500 0.500 0.000 Pt
```

Largest 10 diffraction maxima, most intense first, 10 to 80 degrees two-theta:
Position (°2θ)  d [Å]  Rel. int.  index
33.3  2.691  100  1 1 2
41.4  2.182  42  2 0 0
26.1  3.419  25  1 0 2
70.3  1.339  23  3 1 2
38.7  2.327  18  1 0 4
44.1  2.053  16  1 1 4
59.9  1.543  14  2 2 0
21.9  4.057  11  1 0 1
57.9  1.592  11  2 1 4
46.2  1.965  11  1 0 5

***

What did the second record say?
Starting from a crystal structure in Alexandria, relaxed with PBE, the powder diffraction line list of NdTmRh was computed for Cu Kα X-rays.
No peak broadening, texture or thermal motion is included.

Atomic structure:
```
NdTmRh
1.0
4.677 0.000 0.000
0.000 4.758 0.000
-0.932 0.000 6.988
Nd Tm Rh
2 2 2
direct
0.235 0.250 0.387 Nd
0.765 0.750 0.613 Nd
0.264 0.750 0.007 Tm
0.736 0.250 0.993 Tm
0.173 0.250 0.776 Rh
0.827 0.750 0.224 Rh
```

Largest 10 diffraction maxima, most intense first, 10 to 80 degrees two-theta:
Position (°2θ)  d [Å]  Rel. int.  index
30.9  2.895  100  1 1 1
28.7  3.116  66  1 1 -1
37.8  2.379  56  0 2 0
38.8  2.318  40  2 0 0
39.2  2.301  40  1 1 2
31.8  2.816  38  0 1 2
35.5  2.530  33  1 1 -2
55.3  1.660  29  2 2 0
29.9  2.987  28  1 0 -2
12.7  6.988  25  0 0 1

***

Repeat the first record exactly.
Starting from a crystal structure in Alexandria, relaxed with PBE, the powder diffraction line list of La2ThSi3Pt4 was computed for Cu Kα X-rays.
No peak broadening, texture or thermal motion is included.

Atomic structure:
```
La2ThSi3Pt4
1.0
4.364 0.000 0.000
0.000 4.364 0.000
0.000 0.000 11.001
La Th Si Pt
2 1 3 4
direct
0.000 0.500 0.225 La
0.500 0.000 0.775 La
0.000 0.000 0.500 Th
0.000 0.500 0.888 Si
0.500 0.000 0.112 Si
0.500 0.500 0.500 Si
0.000 0.000 0.000 Pt
0.000 0.500 0.669 Pt
0.500 0.000 0.331 Pt
0.500 0.500 0.000 Pt
```

Largest 10 diffraction maxima, most intense first, 10 to 80 degrees two-theta:
Position (°2θ)  d [Å]  Rel. int.  index
33.3  2.691  100  1 1 2
41.4  2.182  42  2 0 0
26.1  3.419  25  1 0 2
70.3  1.339  23  3 1 2
38.7  2.327  18  1 0 4
44.1  2.053  16  1 1 4
59.9  1.543  14  2 2 0
21.9  4.057  11  1 0 1
57.9  1.592  11  2 1 4
46.2  1.965  11  1 0 5